The following is a theoretical X-ray powder pattern of SbO4. It was derived from the GGA-PBE geometry in the Materials Project, using Cu Ka.

Atomic structure:
```
data_SbO4
_space_group_name_H-M_alt 'I m m a'
_space_group_IT_number 74
_space_group_name_Hall '-I 2b 2'
_cell_length_a 7.330
_cell_length_b 7.391
_cell_length_c 10.458
_cell_angle_alpha 90.00
_cell_angle_beta 90.00
_cell_angle_gamma 90.00
loop_
_atom_site_label
_atom_site_fract_x
_atom_site_fract_y
_atom_site_fract_z
_atom_site_occupancy
Sb1 0.000 0.000 0.000 1
Sb2 0.250 0.250 0.250 1
O1 0.000 0.250 0.324 1
O2 0.000 0.250 0.627 1
O3 0.000 0.250 0.928 1
O4 0.200 0.051 0.125 1
O5 0.250 0.250 0.750 1
```

Main lines, most intense first (2θ from 5° to 70°):
two_theta	I (rel.)
14.72	100.0
28.35	48.9
29.60	41.1
29.77	40.3
49.40	36.4
28.49	19.6
51.79	13.0
58.60	11.2
58.68	11.1
34.47	11.0
58.97	11.0
45.33	9.9

The following is a theoretical X-ray powder pattern of LiCuPO4. It was derived from the GGA-PBE geometry in the Materials Project, using Cu Ka.

Atomic structure:
```
data_LiCuPO4
_space_group_name_H-M_alt 'I -4'
_space_group_IT_number 82
_space_group_name_Hall 'I -4'
_cell_length_a 4.975
_cell_length_b 4.975
_cell_length_c 6.829
_cell_angle_alpha 90.00
_cell_angle_beta 90.00
_cell_angle_gamma 90.00
loop_
_atom_site_label
_atom_site_fract_x
_atom_site_fract_y
_atom_site_fract_z
_atom_site_occupancy
Li1 0.000 0.000 0.000 1
Cu1 0.000 0.000 0.500 1
P1 0.000 0.500 0.750 1
O1 0.180 0.315 0.621 1
```

Main lines, most intense first (2θ from 5° to 70°):
two_theta	I (rel.)
22.11	100.0
36.68	53.2
42.74	26.1
65.30	14.5
57.96	12.2
66.42	11.8
51.99	11.3
43.73	9.5
36.11	7.5
69.50	7.4
26.10	5.0
25.32	4.8

The following is a theoretical X-ray powder pattern of NaLaGdSbO6. It was derived from the GGA-PBE geometry in the Materials Project, using Cu Ka.

Atomic structure:
```
data_NaLaGdSbO6
_space_group_name_H-M_alt 'F -4 3 m'
_space_group_IT_number 216
_space_group_name_Hall 'F -4 2 3'
_cell_length_a 8.384
_cell_length_b 8.384
_cell_length_c 8.384
_cell_angle_alpha 90.00
_cell_angle_beta 90.00
_cell_angle_gamma 90.00
loop_
_atom_site_label
_atom_site_fract_x
_atom_site_fract_y
_atom_site_fract_z
_atom_site_occupancy
Na1 0.000 0.000 0.000 1
La1 0.000 0.000 0.500 1
Gd1 0.250 0.250 0.750 1
Sb1 0.250 0.250 0.250 1
O1 0.014 0.250 0.250 1
```

Main lines, most intense first (2θ from 5° to 70°):
two_theta	I (rel.)
30.15	100.0
53.55	40.3
43.16	32.1
62.69	19.6
18.33	18.1
21.20	16.9
35.51	11.0
48.56	6.7
47.26	5.3
57.09	3.7
65.91	3.6
66.97	3.0